# 1
Simulated powder XRD pattern of GaFe2BO5 for Cu Kα, from a crystal structure in Alexandria, relaxed with GGA+U.

Top 10 peaks for 10° ≤ 2θ ≤ 90°, sorted by position:
(1 2 0), 2θ = 16.94°, intensity 76.4; (2 4 0), 2θ = 34.26°, intensity 100.0; (2 0 1), 2θ = 34.74°, intensity 81.1; (4 0 0), 2θ = 37.23°, intensity 24.6; (1 3 1), 2θ = 37.72°, intensity 35.3; (0 4 1), 2θ = 41.39°, intensity 39.9; (3 2 1), 2θ = 43.33°, intensity 36.5; (3 3 1), 2θ = 46.44°, intensity 27.2; (4 4 1), 2θ = 56.89°, intensity 35.4; (1 7 1), 2θ = 61.00°, intensity 39.9

Unit cell a=9.662 b=12.456 c=3.055 alpha=90.00 beta=90.00 gamma=90.00
Space group Pbam (No. 55)
Inequivalent atoms, fractional coordinates:
Ga 0.241 0.117 0.000 x4
Fe 0.000 0.000 0.500 x2
Fe 0.000 0.500 0.000 x2
Fe 0.004 0.725 0.500 x4
B 0.236 0.864 0.000 x4
O 0.112 0.142 0.500 x4
O 0.121 0.362 0.000 x4
O 0.124 0.585 0.500 x4
O 0.161 0.960 0.000 x4
O 0.164 0.767 0.000 x4


# 2
Simulated powder XRD pattern of MgV4O10 for Cu Kα, from a crystal structure in Alexandria, relaxed with GGA+U.

Top 10 peaks for 10° ≤ 2θ ≤ 90°, sorted by position:
(0 0 1), 2θ = 18.41°, intensity 100.0; (0 1 1), 2θ = 19.97°, intensity 18.2; (1 1 0), 2θ = 26.24°, intensity 49.3; (0 3 1), 2θ = 29.75°, intensity 49.1; (0 4 0), 2θ = 31.05°, intensity 25.1; (1 0 1), 2θ = 31.27°, intensity 53.6; (1 3 0), 2θ = 34.38°, intensity 35.0; (0 6 0), 2θ = 47.34°, intensity 20.3; (2 0 0), 2θ = 51.43°, intensity 24.3; (2 6 0), 2θ = 72.45°, intensity 17.0

Unit cell a=3.554 b=11.521 c=4.819 alpha=90.00 beta=90.00 gamma=90.00
Space group Pmm2 (No. 25)
Inequivalent atoms, fractional coordinates:
Mg 0.000 0.000 0.000 x1
V 0.000 0.349 0.823 x2
V 0.500 0.152 0.585 x2
O 0.000 0.173 0.744 x2
O 0.000 0.349 0.157 x2
O 0.000 0.500 0.725 x1
O 0.500 0.000 0.763 x1
O 0.500 0.118 0.245 x2
O 0.500 0.321 0.698 x2